The following is a theoretical powder diffractogram of PrTh2Ge2Rh7. It was derived from the PBE geometry in Alexandria, using a wavelength of 1.5418 Å.
Intensities are scaled so that the largest is 100.

Most intense lines, 5 to 70 degrees two-theta, in order of rising 2θ:
28.53 deg, d 3.129, rel. 27; 30.50 deg, d 2.931, rel. 29; 31.02 deg, d 2.883, rel. 32; 31.29 deg, d 2.859, rel. 26; 34.59 deg, d 2.593, rel. 96; 36.53 deg, d 2.460, rel. 48; 37.10 deg, d 2.423, rel. 89; 38.71 deg, d 2.326, rel. 37; 43.32 deg, d 2.089, rel. 100; 45.81 deg, d 1.981, rel. 34; 59.07 deg, d 1.564, rel. 24; 63.47 deg, d 1.466, rel. 21

```
data_PrTh2Ge2Rh7
_chemical_formula_sum 'Pr2 Th4 Ge4 Rh14'
_cell_length_a 5.9937
_cell_length_b 5.8627
_cell_length_c 13.0071
_cell_angle_alpha 90.00
_cell_angle_beta 96.67
_cell_angle_gamma 90.00
_space_group_name_H-M_alt 'C 1 2/m 1'
_space_group_IT_number 12
_space_group_name_Hall '-C 2y'
loop_
_atom_site_label
_atom_site_type_symbol
_atom_site_fract_x
_atom_site_fract_y
_atom_site_fract_z
_atom_site_occupancy
Pr1 Pr 0.0000 0.0000 0.0000 1
Th1 Th 0.0757 0.0000 0.3493 1
Ge1 Ge 0.0620 0.5000 0.2609 1
Rh1 Rh 0.0000 0.5000 0.0000 1
Rh2 Rh 0.1756 0.5000 0.4474 1
Rh3 Rh 0.2099 0.2497 0.8334 1
```

=====

The following is a theoretical powder diffractogram of Pr2TmGe3Rh4. It was derived from the PBE geometry in Alexandria, using a wavelength of 1.5418 Å.
Intensities are scaled so that the largest is 100.

Most intense lines, 5 to 70 degrees two-theta, in order of rising 2θ:
26.56 deg, d 3.356, rel. 6; 32.13 deg, d 2.785, rel. 43; 34.19 deg, d 2.622, rel. 100; 38.75 deg, d 2.324, rel. 10; 43.06 deg, d 2.101, rel. 49; 44.56 deg, d 2.033, rel. 19; 46.06 deg, d 1.971, rel. 20; 54.72 deg, d 1.677, rel. 22; 58.56 deg, d 1.576, rel. 8; 59.30 deg, d 1.558, rel. 5; 62.52 deg, d 1.486, rel. 16; 64.88 deg, d 1.437, rel. 15

```
data_Pr2TmGe3Rh4
_chemical_formula_sum 'Pr2 Tm1 Ge3 Rh4'
_cell_length_a 4.2017
_cell_length_b 4.2017
_cell_length_c 11.1562
_cell_angle_alpha 90.00
_cell_angle_beta 90.00
_cell_angle_gamma 90.00
_space_group_name_H-M_alt 'P -4 m 2'
_space_group_IT_number 115
_space_group_name_Hall 'P -4 -2'
loop_
_atom_site_label
_atom_site_type_symbol
_atom_site_fract_x
_atom_site_fract_y
_atom_site_fract_z
_atom_site_occupancy
Pr1 Pr 0.0000 0.5000 0.2320 1
Tm1 Tm 0.0000 0.0000 0.5000 1
Ge1 Ge 0.0000 0.5000 0.8783 1
Ge2 Ge 0.5000 0.5000 0.5000 1
Rh1 Rh 0.0000 0.0000 0.0000 1
Rh2 Rh 0.0000 0.5000 0.6548 1
Rh3 Rh 0.5000 0.5000 0.0000 1
```

=====

The following is a theoretical powder diffractogram of PrSmGeRu. It was derived from the PBE geometry in Alexandria, using a wavelength of 1.5418 Å.
Intensities are scaled so that the largest is 100.

Most intense lines, 5 to 70 degrees two-theta, in order of rising 2θ:
27.69 deg, d 3.222, rel. 15; 31.40 deg, d 2.849, rel. 42; 31.55 deg, d 2.836, rel. 100; 31.89 deg, d 2.807, rel. 27; 39.04 deg, d 2.307, rel. 58; 39.44 deg, d 2.285, rel. 21; 41.10 deg, d 2.196, rel. 28; 46.14 deg, d 1.967, rel. 20; 56.88 deg, d 1.619, rel. 16; 61.56 deg, d 1.507, rel. 14; 63.48 deg, d 1.465, rel. 16; 68.92 deg, d 1.362, rel. 15

```
data_PrSmGeRu
_chemical_formula_sum 'Pr2 Sm2 Ge2 Ru2'
_cell_length_a 3.9350
_cell_length_b 4.3923
_cell_length_c 11.2266
_cell_angle_alpha 90.00
_cell_angle_beta 90.00
_cell_angle_gamma 90.00
_space_group_name_H-M_alt 'A m m 2'
_space_group_IT_number 38
_space_group_name_Hall 'A 2 -2'
loop_
_atom_site_label
_atom_site_type_symbol
_atom_site_fract_x
_atom_site_fract_y
_atom_site_fract_z
_atom_site_occupancy
Pr1 Pr 0.0000 0.0000 0.0000 1
Sm1 Sm 0.5000 0.0000 0.7200 1
Ge1 Ge 0.5000 0.0000 0.4148 1
Ru1 Ru 0.0000 0.0000 0.2690 1
```

=====

The following is a theoretical powder diffractogram of PrZn2GeRu2. It was derived from the PBE geometry in Alexandria, using a wavelength of 1.5418 Å.
Intensities are scaled so that the largest is 100.

Most intense lines, 5 to 70 degrees two-theta, in order of rising 2θ:
15.42 deg, d 5.746, rel. 30; 27.62 deg, d 3.230, rel. 19; 31.13 deg, d 2.873, rel. 24; 31.78 deg, d 2.815, rel. 89; 36.96 deg, d 2.432, rel. 97; 39.46 deg, d 2.284, rel. 100; 51.09 deg, d 1.788, rel. 23; 55.17 deg, d 1.665, rel. 59; 55.81 deg, d 1.647, rel. 14; 57.03 deg, d 1.615, rel. 33; 66.78 deg, d 1.401, rel. 20; 69.93 deg, d 1.345, rel. 14

```
data_PrZn2GeRu2
_chemical_formula_sum 'Pr1 Zn2 Ge1 Ru2'
_cell_length_a 4.5674
_cell_length_b 4.5674
_cell_length_c 5.7457
_cell_angle_alpha 90.00
_cell_angle_beta 90.00
_cell_angle_gamma 90.00
_space_group_name_H-M_alt 'P 4/m m m'
_space_group_IT_number 123
_space_group_name_Hall '-P 4 2'
loop_
_atom_site_label
_atom_site_type_symbol
_atom_site_fract_x
_atom_site_fract_y
_atom_site_fract_z
_atom_site_occupancy
Pr1 Pr 0.0000 0.0000 0.0000 1
Zn1 Zn 0.5000 0.5000 0.2417 1
Ge1 Ge 0.0000 0.0000 0.5000 1
Ru1 Ru 0.0000 0.5000 0.5000 1
```

=====

The following is a theoretical powder diffractogram of Pr4Ge2S. It was derived from the PBE geometry in Alexandria, using a wavelength of 1.5418 Å.
Intensities are scaled so that the largest is 100.

Most intense lines, 5 to 70 degrees two-theta, in order of rising 2θ:
24.01 deg, d 3.706, rel. 13; 27.66 deg, d 3.224, rel. 17; 27.86 deg, d 3.202, rel. 14; 30.83 deg, d 2.900, rel. 45; 31.21 deg, d 2.866, rel. 100; 36.80 deg, d 2.442, rel. 42; 36.99 deg, d 2.430, rel. 22; 37.10 deg, d 2.423, rel. 23; 49.17 deg, d 1.853, rel. 18; 51.18 deg, d 1.785, rel. 16; 51.42 deg, d 1.777, rel. 22; 63.24 deg, d 1.470, rel. 15

```
data_Pr4Ge2S
_chemical_formula_sum 'Pr16 Ge8 S4'
_cell_length_a 9.0571
_cell_length_b 9.0571
_cell_length_c 9.1847
_cell_angle_alpha 90.00
_cell_angle_beta 90.00
_cell_angle_gamma 90.00
_space_group_name_H-M_alt 'I -4 2 d'
_space_group_IT_number 122
_space_group_name_Hall 'I -4 2bw'
loop_
_atom_site_label
_atom_site_type_symbol
_atom_site_fract_x
_atom_site_fract_y
_atom_site_fract_z
_atom_site_occupancy
Pr1 Pr 0.0690 0.6913 0.4410 1
Ge1 Ge 0.1224 0.7500 0.1250 1
S1 S 0.0000 0.0000 0.5000 1
```

=====

The following is a theoretical powder diffractogram of Pr7GeS5. It was derived from the PBE geometry in Alexandria, using a wavelength of 1.5418 Å.
Intensities are scaled so that the largest is 100.

Most intense lines, 5 to 70 degrees two-theta, in order of rising 2θ:
26.75 deg, d 3.333, rel. 24; 26.87 deg, d 3.318, rel. 48; 28.90 deg, d 3.089, rel. 100; 29.08 deg, d 3.071, rel. 21; 30.28 deg, d 2.952, rel. 93; 31.40 deg, d 2.849, rel. 62; 32.29 deg, d 2.772, rel. 24; 40.39 deg, d 2.233, rel. 23; 43.69 deg, d 2.072, rel. 59; 44.24 deg, d 2.048, rel. 29; 52.64 deg, d 1.739, rel. 27; 53.26 deg, d 1.720, rel. 36

```
data_Pr7GeS5
_chemical_formula_sum 'Pr28 Ge4 S20'
_cell_length_a 13.4585
_cell_length_b 4.1409
_cell_length_c 24.3435
_cell_angle_alpha 90.00
_cell_angle_beta 90.02
_cell_angle_gamma 90.00
_space_group_name_H-M_alt 'C 1 2/m 1'
_space_group_IT_number 12
_space_group_name_Hall '-C 2y'
loop_
_atom_site_label
_atom_site_type_symbol
_atom_site_fract_x
_atom_site_fract_y
_atom_site_fract_z
_atom_site_occupancy
Pr1 Pr 0.0347 0.0000 0.2500 1
Pr2 Pr 0.0919 0.5000 0.1114 1
Pr3 Pr 0.0917 0.5000 0.3886 1
Pr4 Pr 0.1369 0.0000 0.5369 1
Pr5 Pr 0.1369 0.0000 0.9632 1
Pr6 Pr 0.1855 0.5000 0.6776 1
Pr7 Pr 0.1852 0.5000 0.8225 1
Ge1 Ge 0.1959 0.5000 0.2498 1
S1 S 0.0000 0.5000 0.0000 1
S2 S 0.0000 0.5000 0.5000 1
S3 S 0.0472 0.0000 0.6427 1
S4 S 0.0469 0.0000 0.8574 1
S5 S 0.2267 0.0000 0.0713 1
S6 S 0.2265 0.0000 0.4287 1
```